(1)
The following is a computed powder diffraction line list of LiScIn2. It was derived from DFT lattice parameters and positions (GGA-PBE), using CuKα.
Peak positions follow from Bragg's law for the DFT cell and can differ from measured ones.

The 10 most intense peaks (2θ = 10–90°), in order of rising 2θ:
21.99 deg, rel. 5.1, (1 1 1); 25.44 deg, rel. 52.7, (2 0 0); 36.29 deg, rel. 100.0, (2 2 0); 44.84 deg, rel. 15.4, (2 2 2); 52.25 deg, rel. 16.9, (4 0 0); 58.99 deg, rel. 20.1, (4 2 0); 65.28 deg, rel. 33.5, (4 2 2); 77.04 deg, rel. 10.3, (4 4 0); 82.68 deg, rel. 9.7, (6 0 0); 88.26 deg, rel. 14.8, (6 2 0)

Atomic structure:
```
data_LiScIn2
_symmetry_space_group_name_H-M 'F m -3 m'
_symmetry_Int_Tables_number 225
_symmetry_space_group_name_Hall '-F 4 2 3'
_cell_length_a 7.003
_cell_length_b 7.003
_cell_length_c 7.003
_cell_angle_alpha 90.00
_cell_angle_beta 90.00
_cell_angle_gamma 90.00
loop_
_atom_site_label
_atom_site_fract_x
_atom_site_fract_y
_atom_site_fract_z
_atom_site_occupancy
Li1 0.000 0.000 0.000 1
Sc1 0.000 0.000 0.500 1
In1 0.250 0.250 0.250 1
```

---

(2)
The following is a computed powder diffraction line list of Li2CuP3H8O13. It was derived from DFT lattice parameters and positions (GGA-PBE), using CuKα.
Peak positions follow from Bragg's law for the DFT cell and can differ from measured ones.

The 10 most intense peaks (2θ = 10–90°), in order of rising 2θ:
14.68 deg, rel. 100.0, (1 -1 0); 19.83 deg, rel. 15.4, (1 0 -2); 20.34 deg, rel. 25.8, (0 2 0); 27.77 deg, rel. 18.8, (2 0 -1); 28.67 deg, rel. 13.3, (1 2 0); 29.10 deg, rel. 17.6, (-1 1 3); 29.30 deg, rel. 28.7, (1 1 -3); 29.61 deg, rel. 13.2, (2 -2 0); 30.61 deg, rel. 18.3, (1 -3 1); 31.12 deg, rel. 23.1, (0 1 3)

Atomic structure:
```
data_Li2CuP3H8O13
_symmetry_space_group_name_H-M 'P -1'
_symmetry_Int_Tables_number 2
_cell_length_a 6.722
_cell_length_b 9.259
_cell_length_c 10.106
_cell_angle_alpha 94.22
_cell_angle_beta 104.76
_cell_angle_gamma 107.15
loop_
_symmetry_equiv_pos_as_xyz
'x,y,z'
'-x,-y,-z'
loop_
_atom_site_label
_atom_site_fract_x
_atom_site_fract_y
_atom_site_fract_z
_atom_site_occupancy
Li1 0.050 0.438 0.347 1
Li2 0.292 0.841 0.543 1
Cu1 0.139 0.256 0.103 1
P1 0.225 0.201 0.529 1
P2 0.322 0.275 0.830 1
P3 0.417 0.519 0.670 1
H1 0.023 0.949 0.139 1
H2 0.064 0.710 0.224 1
H3 0.166 0.057 0.281 1
H4 0.238 0.701 0.951 1
H5 0.238 0.804 0.836 1
H6 0.291 0.698 0.248 1
H7 0.417 0.075 0.188 1
H8 0.462 0.042 0.816 1
O1 0.018 0.219 0.443 1
O2 0.142 0.047 0.180 1
O3 0.142 0.714 0.864 1
O4 0.160 0.235 0.912 1
O5 0.174 0.682 0.292 1
O6 0.194 0.168 0.681 1
O7 0.243 0.581 0.597 1
O8 0.319 0.089 0.475 1
O9 0.343 0.446 0.800 1
O10 0.348 0.385 0.283 1
O11 0.415 0.367 0.578 1
O12 0.434 0.933 0.782 1
O13 0.458 0.745 0.117 1
```

---

(3)
The following is a computed powder diffraction line list of MgSb2O4. It was derived from DFT lattice parameters and positions (GGA-PBE), using CuKα.
Peak positions follow from Bragg's law for the DFT cell and can differ from measured ones.

The 10 most intense peaks (2θ = 10–90°), in order of rising 2θ:
14.86 deg, rel. 33.7, (2 0 -2); 24.86 deg, rel. 64.1, (3 1 -1); 26.64 deg, rel. 58.2, (2 0 -6); 28.38 deg, rel. 51.8, (4 0 0); 31.28 deg, rel. 76.9, (2 2 -2); 31.96 deg, rel. 65.8, (2 0 6); 32.42 deg, rel. 100.0, (0 2 4); 32.52 deg, rel. 30.8, (1 1 -7); 32.91 deg, rel. 42.7, (2 2 2); 56.93 deg, rel. 26.4, (2 2 10)

Atomic structure:
```
data_MgSb2O4
_symmetry_space_group_name_H-M 'C 1 m 1'
_symmetry_Int_Tables_number 8
_cell_length_a 12.862
_cell_length_b 6.519
_cell_length_c 21.273
_cell_angle_alpha 90.00
_cell_angle_beta 102.03
_cell_angle_gamma 90.00
loop_
_symmetry_equiv_pos_as_xyz
'x,y,z'
'x,-y,z'
'x+1/2,y+1/2,z'
'x+1/2,-y+1/2,z'
loop_
_atom_site_label
_atom_site_fract_x
_atom_site_fract_y
_atom_site_fract_z
_atom_site_occupancy
Mg1 0.000 0.000 0.000 1
Mg2 0.001 0.000 0.433 1
Mg3 0.041 0.500 0.536 1
Mg4 0.163 0.000 0.893 1
Mg5 0.271 0.500 0.248 1
Mg6 0.273 0.000 0.208 1
Mg7 0.311 0.000 0.795 1
Mg8 0.402 0.000 0.657 1
Sb1 0.011 0.500 0.113 1
Sb2 0.021 0.248 0.267 1
Sb3 0.026 0.254 0.774 1
Sb4 0.041 0.000 0.610 1
Sb5 0.079 0.500 0.404 1
Sb6 0.229 0.500 0.686 1
Sb7 0.232 0.245 0.030 1
Sb8 0.272 0.000 0.352 1
Sb9 0.308 0.245 0.524 1
Sb10 0.308 0.500 0.853 1
Sb11 0.416 0.500 0.125 1
Sb12 0.493 0.000 0.951 1
O1 0.017 0.000 0.831 1
O2 0.047 0.000 0.207 1
O3 0.051 0.000 0.709 1
O4 0.060 0.280 0.464 1
O5 0.074 0.500 0.688 1
O6 0.092 0.230 0.960 1
O7 0.117 0.500 0.198 1
O8 0.128 0.500 0.064 1
O9 0.193 0.500 0.591 1
O10 0.209 0.000 0.089 1
O11 0.224 0.221 0.840 1
O12 0.234 0.210 0.284 1
O13 0.269 0.000 0.976 1
O14 0.275 0.000 0.584 1
O15 0.351 0.500 0.947 1
O16 0.370 0.210 0.728 1
O17 0.373 0.257 0.211 1
O18 0.383 0.000 0.489 1
O19 0.399 0.500 0.489 1
O20 0.428 0.000 0.348 1
O21 0.443 0.253 0.597 1
O22 0.460 0.000 0.856 1
O23 0.490 0.500 0.327 1
O24 0.492 0.305 0.075 1
```